For Sr2CrSe2O2, a crystal structure in Alexandria, relaxed with PBE+U gives the theoretical powder X-ray diffraction pattern in this record (λ = 1.5418 Å (Cu Kα)).
No peak broadening, texture or thermal motion is included.

Principal peaks in the range 2θ = 10–90°, by angle:
| two_theta | Rel. int. |
| --- | --- |
| 29.08 | 36 |
| 30.25 | 60 |
| 30.51 | 100 |
| 34.54 | 32 |
| 34.74 | 42 |
| 35.97 | 72 |
| 46.13 | 30 |
| 50.10 | 19 |
| 56.16 | 21 |
| 61.01 | 17 |

Structural model:
```
Sr2CrSe2O2
1.0
5.9367 -1.9678 0.0000
5.9367 1.9678 0.0000
-3.5661 0.0000 6.1406
Sr Cr Se O
2 1 2 2
Cartesian
1.4700 0.0000 1.4841
6.8372 0.0000 4.6565
-1.7831 0.0000 3.0703
4.6433 0.0000 1.2912
3.6640 0.0000 4.8494
0.0113 0.0000 3.5232
8.2960 0.0000 2.6174
```